Starting from DFT lattice parameters and positions (GGA+U), the powder X-ray diffraction pattern of RbCrCd2F8 was computed for Cu Kα (λ = 1.5418 Å).
Peak positions follow from Bragg's law for the DFT cell and can differ from measured ones.

Top 6 peaks for 10° ≤ 2θ ≤ 90°, low angle first:
two_theta  I (rel.)  index
24.45  100  1 0 -1
24.87  83  1 0 1
29.89  95  0 2 1
30.04  64  1 2 0
46.45  39  1 2 -2
46.94  42  1 2 2

Structural model:
```
data_RbCrCd2F8
_space_group_name_H-M_alt 'P 1 2/m 1'
_space_group_IT_number 10
_space_group_name_Hall '-P 2y'
_cell_length_a 5.0686
_cell_length_b 7.3477
_cell_length_c 5.1434
_cell_angle_alpha 90.00
_cell_angle_beta 90.97
_cell_angle_gamma 90.00
loop_
_atom_site_label
_atom_site_type_symbol
_atom_site_fract_x
_atom_site_fract_y
_atom_site_fract_z
_atom_site_occupancy
Rb1 Rb 0.0000 0.0000 0.0000 1
Cr1 Cr 0.0000 0.5000 0.0000 1
Cd1 Cd 0.5000 0.2562 0.5000 1
F1 F 0.1674 0.3150 0.2176 1
F2 F 0.2990 0.5000 0.7465 1
F3 F 0.4291 0.0000 0.7314 1
```